Computed powder X-ray diffraction pattern
Compound: RbPaInCl6
Radiation: Cu Kα, 1.54184 Å
Structure: a structure optimized by DFT (PBE)
Kinematic intensities with the Lorentz-polarization factor, no thermal factor.

Peak list (10 most intense, 10 to 90 degrees two-theta, in order of falling intensity)
(hkl)	Position (°2θ)	intensity
1 0 2	19.3	100
1 1 4	36.9	70
1 0 1	14.7	57
1 1 0	22.3	52
1 1 2	26.6	40
2 1 2	37.4	39
3 0 0	39.1	36
2 0 2	29.7	35
4 -2 4	54.8	21
0 0 2	14.4	17

Crystal structure
Lattice parameters (Å, degrees): 7.9774 7.9774 12.3156 90.00 90.00 120.00
Fractional coordinates of all 18 atoms:
Rb: 0.3333 0.6667 0.2500
Rb: 0.6667 0.3333 0.7500
Pa: 0.3333 0.6667 0.7500
Pa: 0.6667 0.3333 0.2500
In: 0.0000 0.0000 0.0000
In: 0.0000 0.0000 0.5000
Cl: 0.0625 0.3882 0.6273
Cl: 0.0625 0.6743 0.8727
Cl: 0.3257 0.3882 0.8727
Cl: 0.3257 0.9375 0.6273
Cl: 0.3882 0.0625 0.1273
Cl: 0.3882 0.3257 0.3727
Cl: 0.6118 0.6743 0.6273
Cl: 0.6118 0.9375 0.8727
Cl: 0.6743 0.0625 0.3727
Cl: 0.6743 0.6118 0.1273
Cl: 0.9375 0.3257 0.1273
Cl: 0.9375 0.6118 0.3727